Starting from a cell relaxed with GGA-PBE, the powder XRD pattern of TlGaPtSe was simulated for Cu Kα (λ = 1.5418 Å).
Peak positions follow from Bragg's law for the DFT cell and can differ from measured ones.

Top 12 peaks for 2θ = 10–80°, in order of falling intensity:
Position (°2θ)	d [Å]	I_rel
34.2	2.620	100
25.0	3.566	80
42.2	2.144	59
44.2	2.048	48
27.1	3.286	44
49.2	1.852	36
66.7	1.402	31
57.1	1.614	22
54.6	1.680	22
55.9	1.644	19
31.6	2.829	17
41.2	2.190	13

Atomic structure:
a b c (Å): 7.0740 7.0740 7.0740
angles (deg): 149.64 149.64 43.47
Atoms (fractional coordinates):
Tl 0.0000 0.0000 0.0000
Ga 0.2969 0.2969 0.0000
Pt 0.7930 0.7930 0.0000
Se 0.6016 0.6016 0.0000

***

Starting from a cell relaxed with GGA-PBE, the powder XRD pattern of TlGaPtSe was simulated for Cu Kα (λ = 1.5418 Å).
Peak positions follow from Bragg's law for the DFT cell and can differ from measured ones.

Top 12 peaks for 2θ = 10–80°, in order of falling intensity:
Position (°2θ)	d [Å]	I_rel
35.5	2.530	100
15.2	5.841	94
31.9	2.807	81
44.8	2.024	48
31.4	2.848	45
33.0	2.716	36
43.3	2.088	33
45.6	1.989	28
48.0	1.896	25
30.6	2.920	21
44.4	2.039	20
64.7	1.440	20

Atomic structure:
a b c (Å): 6.4857 6.4857 6.4857
angles (deg): 146.01 142.44 51.55
Atoms (fractional coordinates):
Tl 0.0000 0.0000 0.0000
Ga 0.2921 0.7921 0.5000
Pt 0.4368 0.4368 0.0000
Se 0.6659 0.6659 0.0000

***

Starting from a cell relaxed with GGA-PBE, the powder XRD pattern of GaSiPt3 was simulated for Cu Kα (λ = 1.5418 Å).
Peak positions follow from Bragg's law for the DFT cell and can differ from measured ones.

Top 12 peaks for 2θ = 10–80°, in order of falling intensity:
Position (°2θ)	d [Å]	I_rel
31.6	2.828	100
12.0	7.347	86
38.4	2.345	56
39.9	2.261	53
32.0	2.799	50
42.0	2.152	45
43.7	2.070	41
42.5	2.127	41
40.1	2.250	35
69.6	1.351	29
39.3	2.295	27
42.6	2.121	26

Atomic structure:
a b c (Å): 7.3938 7.3938 6.4602
angles (deg): 90.41 90.41 83.56
Atoms (fractional coordinates):
Ga 0.0826 0.2795 0.2537
Ga 0.2795 0.0826 0.7537
Ga 0.7205 0.9174 0.2463
Ga 0.9174 0.7205 0.7463
Si 0.1910 0.8090 0.2500
Si 0.3865 0.6135 0.7500
Si 0.6135 0.3865 0.2500
Si 0.8090 0.1910 0.7500
Pt 0.0565 0.3382 0.6416
Pt 0.1592 0.5793 0.9882
Pt 0.3172 0.4913 0.4044
Pt 0.3382 0.0565 0.1416
Pt 0.4207 0.8408 0.5118
Pt 0.4913 0.3172 0.9044
Pt 0.5087 0.6828 0.0956
Pt 0.5793 0.1592 0.4882
Pt 0.6618 0.9435 0.8584
Pt 0.6828 0.5087 0.5956
Pt 0.8408 0.4207 0.0118
Pt 0.9435 0.6618 0.3584

***

Starting from a cell relaxed with GGA-PBE, the powder XRD pattern of Sm2Ga3SiPt4 was simulated for Cu Kα (λ = 1.5418 Å).
Peak positions follow from Bragg's law for the DFT cell and can differ from measured ones.

Top 12 peaks for 2θ = 10–80°, in order of falling intensity:
Position (°2θ)	d [Å]	I_rel
34.5	2.598	100
42.7	2.117	74
33.3	2.691	69
31.1	2.878	44
46.1	1.969	35
55.2	1.664	33
48.5	1.876	29
62.0	1.497	24
72.9	1.297	23
66.6	1.404	22
25.5	3.487	19
72.2	1.308	15

Atomic structure:
a b c (Å): 4.2332 4.2332 10.4603
angles (deg): 90.00 90.00 90.00
Atoms (fractional coordinates):
Sm 0.0000 0.5000 0.2408
Sm 0.5000 0.0000 0.7592
Ga 0.0000 0.0000 0.0000
Ga 0.0000 0.5000 0.6366
Ga 0.5000 0.0000 0.3634
Si 0.5000 0.5000 0.0000
Pt 0.0000 0.0000 0.5000
Pt 0.0000 0.5000 0.8741
Pt 0.5000 0.0000 0.1259
Pt 0.5000 0.5000 0.5000

***

Starting from a cell relaxed with GGA-PBE, the powder XRD pattern of Sm2GaSiPt6 was simulated for Cu Kα (λ = 1.5418 Å).
Peak positions follow from Bragg's law for the DFT cell and can differ from measured ones.

Top 12 peaks for 2θ = 10–80°, in order of falling intensity:
Position (°2θ)	d [Å]	I_rel
38.4	2.344	100
30.0	2.978	82
39.1	2.303	61
41.6	2.169	53
42.3	2.134	41
58.4	1.579	38
10.8	8.191	34
34.1	2.626	34
44.5	2.034	28
27.0	3.299	26
49.2	1.852	22
21.7	4.095	21

Atomic structure:
a b c (Å): 5.5696 8.6766 8.1910
angles (deg): 90.00 90.00 90.00
Atoms (fractional coordinates):
Sm 0.2500 0.0051 0.2298
Sm 0.2500 0.4949 0.2298
Sm 0.7500 0.5051 0.7702
Sm 0.7500 0.9949 0.7702
Ga 0.2500 0.7500 0.7714
Ga 0.7500 0.2500 0.2286
Si 0.2500 0.2500 0.7447
Si 0.7500 0.7500 0.2553
Pt 0.9997 0.2500 0.9777
Pt 0.0003 0.7500 0.0223
Pt 0.0011 0.7500 0.5040
Pt 0.2500 0.0013 0.6120
Pt 0.2500 0.4987 0.6120
Pt 0.4989 0.7500 0.5040
Pt 0.5003 0.2500 0.9777
Pt 0.4997 0.7500 0.0223
Pt 0.5011 0.2500 0.4960
Pt 0.7500 0.5013 0.3880
Pt 0.7500 0.9987 0.3880
Pt 0.9989 0.2500 0.4960

***

Starting from a cell relaxed with GGA-PBE, the powder XRD pattern of ThGaSi2Pt7 was simulated for Cu Kα (λ = 1.5418 Å).
Peak positions follow from Bragg's law for the DFT cell and can differ from measured ones.

Top 12 peaks for 2θ = 10–80°, in order of falling intensity:
Position (°2θ)	d [Å]	I_rel
36.3	2.475	100
43.9	2.063	51
33.3	2.694	46
75.7	1.257	24
23.6	3.775	24
40.2	2.243	20
31.9	2.805	18
63.8	1.459	17
50.0	1.824	17
64.9	1.437	16
55.3	1.662	16
12.6	7.011	14

Atomic structure:
a b c (Å): 14.3232 14.3232 14.3232
angles (deg): 163.44 163.44 23.51
Atoms (fractional coordinates):
Th 0.0000 0.0000 0.0000
Ga 0.7500 0.2500 0.5000
Si 0.3748 0.3748 0.0000
Si 0.6252 0.6252 0.0000
Pt 0.0796 0.5796 0.5000
Pt 0.2943 0.2943 0.0000
Pt 0.4204 0.9204 0.5000
Pt 0.5000 0.5000 0.0000
Pt 0.5798 0.0798 0.5000
Pt 0.7057 0.7057 0.0000
Pt 0.9202 0.4202 0.5000

***

Please write out number 5 again, unchanged.
Starting from a cell relaxed with GGA-PBE, the powder XRD pattern of Sm2GaSiPt6 was simulated for Cu Kα (λ = 1.5418 Å).
Peak positions follow from Bragg's law for the DFT cell and can differ from measured ones.

Top 12 peaks for 2θ = 10–80°, in order of falling intensity:
Position (°2θ)	d [Å]	I_rel
38.4	2.344	100
30.0	2.978	82
39.1	2.303	61
41.6	2.169	53
42.3	2.134	41
58.4	1.579	38
10.8	8.191	34
34.1	2.626	34
44.5	2.034	28
27.0	3.299	26
49.2	1.852	22
21.7	4.095	21

Atomic structure:
a b c (Å): 5.5696 8.6766 8.1910
angles (deg): 90.00 90.00 90.00
Atoms (fractional coordinates):
Sm 0.2500 0.0051 0.2298
Sm 0.2500 0.4949 0.2298
Sm 0.7500 0.5051 0.7702
Sm 0.7500 0.9949 0.7702
Ga 0.2500 0.7500 0.7714
Ga 0.7500 0.2500 0.2286
Si 0.2500 0.2500 0.7447
Si 0.7500 0.7500 0.2553
Pt 0.9997 0.2500 0.9777
Pt 0.0003 0.7500 0.0223
Pt 0.0011 0.7500 0.5040
Pt 0.2500 0.0013 0.6120
Pt 0.2500 0.4987 0.6120
Pt 0.4989 0.7500 0.5040
Pt 0.5003 0.2500 0.9777
Pt 0.4997 0.7500 0.0223
Pt 0.5011 0.2500 0.4960
Pt 0.7500 0.5013 0.3880
Pt 0.7500 0.9987 0.3880
Pt 0.9989 0.2500 0.4960